Structure and simulated powder XRD pattern of Fe10OF19 (DFT lattice parameters and positions (GGA+U); Cu Kα X-rays).

Largest 10 diffraction maxima, in order of falling intensity, 2θ from 10° to 90°:
(0 2 -1), 32.92°, I 100
(-1 1 2), 26.26°, I 85
(1 1 2), 26.14°, I 84
(2 0 -5), 50.72°, I 57
(2 0 5), 50.60°, I 44
(3 1 -3), 64.64°, I 30
(1 2 -1), 38.02°, I 28
(0 2 -6), 55.73°, I 20
(2 2 4), 53.77°, I 18
(1 1 -8), 62.58°, I 17

Cell and atoms:
```
Fe10OF19
1.0
4.810 0.000 0.000
0.019 5.830 0.000
0.051 2.349 13.614
Fe O F
10 1 19
Direct
0.000 0.000 0.000 Fe
0.000 0.403 0.798 Fe
0.006 0.805 0.593 Fe
0.497 0.503 0.001 Fe
0.499 0.304 0.597 Fe
0.502 0.901 0.798 Fe
0.505 0.098 0.199 Fe
0.517 0.692 0.395 Fe
0.987 0.225 0.394 Fe
0.989 0.599 0.206 Fe
0.812 0.502 0.344 O
0.197 0.678 0.063 F
0.198 0.483 0.657 F
0.200 0.905 0.451 F
0.201 0.080 0.858 F
0.205 0.263 0.267 F
0.292 0.378 0.460 F
0.299 0.179 0.060 F
0.299 0.582 0.858 F
0.304 0.981 0.655 F
0.307 0.779 0.258 F
0.693 0.630 0.541 F
0.700 0.822 0.939 F
0.703 0.417 0.138 F
0.704 0.222 0.735 F
0.714 0.021 0.340 F
0.798 0.323 0.938 F
0.801 0.920 0.139 F
0.803 0.725 0.735 F
0.806 0.133 0.530 F
```

Structure and simulated powder XRD pattern of Na3Li3Fe2P2C2O14 (DFT lattice parameters and positions (GGA+U); Cu Kα X-rays).

Largest 10 diffraction maxima, in order of falling intensity, 2θ from 10° to 90°:
(0 2 0), 27.29°, I 100
(0 0 1), 10.10°, I 60
(2 0 0), 34.56°, I 51
(1 0 1), 20.12°, I 38
(1 0 -1), 19.64°, I 38
(0 2 -2), 33.86°, I 37
(1 0 -2), 26.26°, I 27
(-2 1 2), 42.32°, I 24
(0 0 3), 30.60°, I 21
(0 4 0), 56.30°, I 18

Cell and atoms:
```
Na3Li3Fe2P2C2O14
1.0
5.192 0.000 0.000
-0.059 6.537 0.000
-0.240 -0.170 8.761
Na Li Fe P C O
3 3 2 2 2 14
Direct
0.000 0.000 0.000 Na
0.012 0.745 0.659 Na
0.493 0.272 0.829 Na
0.029 0.469 0.030 Li
0.475 0.527 0.466 Li
0.486 0.982 0.468 Li
0.040 0.250 0.399 Fe
0.468 0.747 0.095 Fe
0.553 0.254 0.169 P
0.964 0.745 0.326 P
0.524 0.753 0.788 C
0.973 0.261 0.697 C
0.064 0.564 0.423 O
0.064 0.732 0.162 O
0.073 0.938 0.414 O
0.197 0.258 0.634 O
0.305 0.755 0.857 O
0.438 0.434 0.074 O
0.448 0.252 0.332 O
0.476 0.058 0.074 O
0.531 0.753 0.639 O
0.662 0.748 0.321 O
0.735 0.747 0.871 O
0.767 0.246 0.608 O
0.853 0.274 0.178 O
0.956 0.279 0.844 O
```

Structure and simulated powder XRD pattern of MnOF (DFT lattice parameters and positions (GGA+U); Cu Kα X-rays).

Largest 10 diffraction maxima, in order of falling intensity, 2θ from 10° to 90°:
(0 1 1), 27.26°, I 100
(3 1 0), 34.16°, I 65
(3 2 1), 52.74°, I 58
(3 1 1), 39.47°, I 24
(0 2 2), 56.23°, I 17
(6 1 1), 65.10°, I 14
(6 0 0), 57.86°, I 12
(3 0 3), 67.38°, I 9
(6 2 2), 84.96°, I 8
(3 3 0), 67.54°, I 8

Cell and atoms:
```
MnOF
1.0
9.562 0.000 0.000
0.000 4.621 0.000
0.000 0.000 4.633
Mn O F
6 6 6
Direct
0.000 0.224 0.000 Mn
0.167 0.722 0.564 Mn
0.333 0.278 0.064 Mn
0.500 0.776 0.500 Mn
0.667 0.278 0.064 Mn
0.833 0.722 0.564 Mn
0.000 0.909 0.737 O
0.171 0.427 0.858 O
0.329 0.573 0.358 O
0.500 0.091 0.237 O
0.671 0.573 0.358 O
0.829 0.427 0.858 O
0.000 0.502 0.328 F
0.160 0.023 0.254 F
0.340 0.977 0.754 F
0.500 0.498 0.828 F
0.660 0.977 0.754 F
0.840 0.023 0.254 F
```

Structure and simulated powder XRD pattern of SrMgCrO3 (DFT lattice parameters and positions (GGA+U); Cu Kα X-rays).

Largest 10 diffraction maxima, in order of falling intensity, 2θ from 10° to 90°:
(0 0 2), 27.37°, I 100
(1 0 1), 26.49°, I 87
(1 1 0), 32.23°, I 61
(1 1 2), 42.78°, I 55
(2 0 2), 54.56°, I 50
(2 0 0), 46.22°, I 43
(2 1 1), 54.07°, I 24
(2 2 2), 74.23°, I 18
(1 0 3), 47.85°, I 17
(2 0 4), 75.87°, I 17

Cell and atoms:
```
SrMgCrO3
1.0
3.928 0.000 0.000
0.000 3.928 0.000
0.000 0.000 6.518
Sr Mg Cr O
1 1 1 3
Direct
0.000 0.000 0.000 Sr
0.000 0.000 0.500 Mg
0.500 0.500 0.500 Cr
0.000 0.500 0.500 O
0.500 0.000 0.500 O
0.500 0.500 0.000 O
```